Record 1
This entry pairs a crystal structure of Ce5In2Sn with its theoretical powder diffractogram. Radiation: Cu Kα (λ = 1.5418 Å). Structure: DFT lattice parameters and positions (PBE).
No peak broadening, texture or thermal motion is included.

Cell and atoms:
a = 8.543 Å, b = 8.543 Å, c = 12.628 Å
α = 90.00°, β = 90.00°, γ = 90.00°
Space group I4/mcm (No. 140)
Unique sites:
Ce 0.000 0.000 0.000 x4
Ce 0.173 0.327 0.169 x16
In 0.126 0.374 0.500 x8
Sn 0.000 0.000 0.250 x4

Largest 10 diffraction maxima, sorted by position, 10° ≤ 2θ ≤ 90°:
(hkl), 2θ/deg, Rel. int.
2 2 0, 29.57, 17.5
2 1 3, 31.63, 100.0
3 1 0, 33.16, 54.5
2 0 4, 35.35, 18.2
0 0 6, 42.97, 11.1
4 1 3, 49.00, 19.3
3 1 6, 55.33, 9.4
5 2 3, 62.57, 11.3
5 1 4, 62.77, 12.8
2 1 9, 71.65, 9.2

***

Record 2
This entry pairs a crystal structure of LaErNiAg with its theoretical powder diffractogram. Radiation: Cu Kα (λ = 1.5418 Å). Structure: DFT lattice parameters and positions (PBE).
No peak broadening, texture or thermal motion is included.

Cell and atoms:
a = 7.201 Å, b = 7.201 Å, c = 7.201 Å
α = 90.00°, β = 90.00°, γ = 90.00°
Space group F-43m (No. 216)
Unique sites:
La 0.000 0.000 0.000 x4
Er 0.000 0.000 0.500 x4
Ni 0.250 0.250 0.250 x4
Ag 0.250 0.250 0.750 x4

Largest 10 diffraction maxima, sorted by position, 10° ≤ 2θ ≤ 90°:
(hkl), 2θ/deg, Rel. int.
1 1 1, 21.37, 3.1
2 0 0, 24.73, 8.1
2 2 0, 35.25, 100.0
2 2 2, 43.54, 2.6
4 0 0, 50.71, 17.5
4 2 0, 57.21, 3.7
4 2 2, 63.26, 35.4
4 4 0, 74.54, 10.8
6 0 0, 79.93, 1.9
6 2 0, 85.23, 15.5

***

Record 3
This entry pairs a crystal structure of La8CoRh3 with its theoretical powder diffractogram. Radiation: Cu Kα (λ = 1.5418 Å). Structure: DFT lattice parameters and positions (PBE).
No peak broadening, texture or thermal motion is included.

Cell and atoms:
a = 13.266 Å, b = 8.441 Å, c = 7.843 Å
α = 90.00°, β = 119.92°, γ = 90.00°
Space group C2/m (No. 12)
Unique sites:
La 0.001 0.242 0.242 x8
La 0.243 0.000 0.244 x4
La 0.247 0.500 0.251 x4
Co 0.000 0.000 0.000 x2
Rh 0.000 0.500 0.000 x2
Rh 0.250 0.250 0.500 x4

Largest 10 diffraction maxima, sorted by position, 10° ≤ 2θ ≤ 90°:
(hkl), 2θ/deg, Rel. int.
2 0 -1, 14.38, 29.1
0 2 1, 24.81, 16.7
2 2 0, 26.20, 54.7
4 0 0, 31.11, 50.5
2 2 -2, 31.23, 100.0
2 2 2, 42.82, 62.4
6 2 -2, 46.47, 32.6
4 0 -4, 46.58, 16.2
0 0 4, 53.92, 31.3
0 4 4, 71.25, 17.7